For MgV2Cu2O12, a cell relaxed with GGA+U gives the simulated powder X-ray diffraction pattern in this record (λ = 1.5418 Å (Cu Kα)).
Lines closer than 0.1° are merged.

Principal peaks in the range 15 to 90 degrees two-theta, by angle:
- 2θ = 16.0°, rel. 100
- 2θ = 17.0°, rel. 36
- 2θ = 24.8°, rel. 71
- 2θ = 27.0°, rel. 31
- 2θ = 28.2°, rel. 39
- 2θ = 29.5°, rel. 39
- 2θ = 32.3°, rel. 22
- 2θ = 33.0°, rel. 21
- 2θ = 34.4°, rel. 43
- 2θ = 38.3°, rel. 48
- 2θ = 48.3°, rel. 20
- 2θ = 55.6°, rel. 28

```
17
Lattice="6.368 -2.889 0.000 6.368 2.889 0.000 -2.338 0.000 7.110" Properties=species:S:1:pos:R:3 pbc="T T T"
Mg 0.000 0.000 0.000
V 5.616 0.000 1.805
V 4.783 0.000 5.305
Cu 3.184 1.445 0.000
Cu 3.184 -1.445 0.000
O 0.020 0.000 4.951
O -0.141 0.000 6.276
O 3.905 1.495 5.508
O 6.494 1.495 1.601
O 3.904 0.000 1.020
O 6.368 0.000 0.000
O 5.199 0.000 3.555
O 6.495 0.000 6.090
O 3.905 -1.495 5.508
O 6.494 -1.495 1.601
O 10.540 0.000 0.834
O 10.379 0.000 2.158
```